Starting from the PBE geometry in Alexandria, the powder diffractogram of Dy2Be3ZnNi12 was computed for Cu Kα.
Intensities are scaled so that the largest is 100.

Cell and atoms:
a b c (Å): 8.3696 8.3696 11.4802
angles (deg): 90.00 90.00 120.00
Space group R-3m (No. 166, hexagonal axes)
Symmetry-distinct sites (fractional):
Dy 0.0000 0.0000 0.1900 [6 per cell]
Be 0.0000 0.5000 0.0000 [9 per cell]
Zn 0.0000 0.0000 0.5000 [3 per cell]
Ni 0.0117 0.5059 0.1906 [18 per cell]
Ni 0.0160 0.5080 0.6088 [18 per cell]

Peak list (10 most intense, 2θ from 5° to 70°, sorted by position)
2θ (°)	intensity	(hkl)
14.45	9	1 0 1
23.24	33	0 0 3
29.14	26	2 0 2
31.68	33	1 1 3
43.24	100	2 2 0
44.34	14	0 3 3
46.84	57	2 0 5
49.66	26	2 2 3
63.66	10	4 1 3
65.64	19	0 4 5



Starting from the PBE geometry in Alexandria, the powder diffractogram of LiTcHg was computed for Cu Kα.
Intensities are scaled so that the largest is 100.

Cell and atoms:
a b c (Å): 3.162 4.471 14.226
angles (deg): 90.00 90.00 90.00
Space group Fmm2 (No. 42)
Symmetry-distinct sites (fractional):
Li 0.000 0.000 0.000 [4 per cell]
Tc 0.000 0.000 0.654 [4 per cell]
Hg 0.000 0.000 0.331 [4 per cell]

Peak list (10 most intense, 2θ from 5° to 70°, sorted by position)
2θ (°)	intensity	(hkl)
12.44	100	0 0 2
25.04	34	0 0 4
35.34	46	1 1 1
37.95	28	0 0 6
39.76	99	1 1 3
40.34	24	0 2 0
47.56	12	1 1 5
56.58	17	0 2 6
57.74	17	1 1 7
69.76	18	1 1 9



Starting from the PBE geometry in Alexandria, the powder diffractogram of SrTl2Hg10 was computed for Cu Kα.
Intensities are scaled so that the largest is 100.

Cell and atoms:
a b c (Å): 7.249 14.113 14.822
angles (deg): 90.00 90.00 90.00
Space group Fmmm (No. 69)
Symmetry-distinct sites (fractional):
Sr 0.000 0.000 0.000 [4 per cell]
Tl 0.250 0.000 0.250 [8 per cell]
Hg 0.000 0.109 0.396 [16 per cell]
Hg 0.000 0.176 0.170 [16 per cell]
Hg 0.250 0.250 0.000 [8 per cell]

Peak list (10 most intense, 2θ from 5° to 70°, sorted by position)
2θ (°)	intensity	(hkl)
28.96	34	1 3 3
30.23	81	2 2 2
33.27	38	1 1 5
34.63	100	2 0 4
35.12	52	0 4 4
35.51	54	2 4 0
38.62	25	0 2 6
40.22	21	0 6 2
50.35	22	4 0 0
60.01	32	2 6 6



Starting from the PBE geometry in Alexandria, the powder diffractogram of Th6In2Cu was computed for Cu Kα.
Intensities are scaled so that the largest is 100.

Cell and atoms:
a b c (Å): 8.9641 8.9641 3.7706
angles (deg): 90.00 90.00 120.00
Space group P-62m (No. 189)
Symmetry-distinct sites (fractional):
Th 0.0000 0.2535 0.0000 [3 per cell]
Th 0.0000 0.5986 0.5000 [3 per cell]
In 0.3333 0.6667 0.0000 [2 per cell]
Cu 0.0000 0.0000 0.5000 [1 per cell]

Peak list (10 most intense, 2θ from 5° to 70°, sorted by position)
2θ (°)	intensity	(hkl)
30.47	72	2 1 0
30.99	100	1 1 1
33.12	56	2 0 1
34.67	34	3 0 0
38.89	17	2 1 1
48.27	15	0 0 2
48.70	22	3 1 1
57.20	33	3 2 1
58.16	24	2 1 2
60.79	13	3 0 2